1.
Structure and simulated powder XRD pattern of GeRh2 (DFT lattice parameters and positions (GGA-PBE); λ = 1.5418 Å (Cu Kα)).
Intensities are scaled so that the largest is 100.

Main lines, in order of falling intensity (5° ≤ 2θ ≤ 70°):
| (hkl) | 2theta | d (Å) | I (rel.) |
| --- | --- | --- | --- |
| 0 1 3 | 41.73 | 2.164 | 100 |
| 2 1 1 | 41.20 | 2.191 | 87 |
| 0 2 0 | 44.61 | 2.031 | 58 |
| 2 1 0 | 39.41 | 2.286 | 55 |
| 1 1 2 | 36.06 | 2.491 | 34 |
| 2 0 2 | 40.19 | 2.244 | 33 |
| 2 0 3 | 48.48 | 1.878 | 24 |
| 1 0 3 | 38.79 | 2.321 | 21 |
| 2 2 2 | 61.59 | 1.506 | 18 |
| 2 2 3 | 67.99 | 1.379 | 17 |

Structural model:
```
data_GeRh2
_cell_length_a 5.532
_cell_length_b 4.063
_cell_length_c 7.672
_cell_angle_alpha 90.00
_cell_angle_beta 90.00
_cell_angle_gamma 90.00
_space_group_name_H-M_alt 'P n m a'
_space_group_IT_number 62
_space_group_name_Hall '-P 2ac 2n'
loop_
_atom_site_label
_atom_site_fract_x
_atom_site_fract_y
_atom_site_fract_z
_atom_site_occupancy
Ge1 0.213 0.250 0.104 1
Rh1 0.029 0.250 0.795 1
Rh2 0.163 0.250 0.430 1
```



2.
Structure and simulated powder XRD pattern of Ca3GeCl2O4 (DFT lattice parameters and positions (GGA-PBE); λ = 1.5418 Å (Cu Kα)).
Intensities are scaled so that the largest is 100.

Main lines, in order of falling intensity (5° ≤ 2θ ≤ 70°):
| (hkl) | 2theta | d (Å) | I (rel.) |
| --- | --- | --- | --- |
| 0 3 1 | 29.98 | 2.981 | 100 |
| 0 0 2 | 30.97 | 2.887 | 56 |
| 4 2 1 | 38.39 | 2.345 | 41 |
| 4 1 0 | 31.55 | 2.836 | 40 |
| 0 1 1 | 17.57 | 5.048 | 35 |
| 2 1 1 | 23.20 | 3.834 | 33 |
| 1 2 1 | 24.20 | 3.678 | 27 |
| 3 0 2 | 38.79 | 2.322 | 26 |
| 4 1 1 | 35.27 | 2.545 | 25 |
| 4 5 0 | 53.79 | 1.704 | 25 |

Structural model:
```
data_Ca3GeCl2O4
_cell_length_a 11.787
_cell_length_b 10.448
_cell_length_c 5.765
_cell_angle_alpha 90.00
_cell_angle_beta 90.00
_cell_angle_gamma 90.00
_space_group_name_H-M_alt 'P n m a'
_space_group_IT_number 62
_space_group_name_Hall '-P 2ac 2n'
loop_
_atom_site_label
_atom_site_fract_x
_atom_site_fract_y
_atom_site_fract_z
_atom_site_occupancy
Ca1 0.040 0.250 0.102 1
Ca2 0.163 0.580 0.383 1
Ge1 0.221 0.750 0.822 1
Cl1 0.070 0.067 0.748 1
O1 0.102 0.750 0.628 1
O2 0.165 0.750 0.106 1
O3 0.197 0.117 0.222 1
```



3.
Structure and simulated powder XRD pattern of Ba2B2O5 (DFT lattice parameters and positions (GGA-PBE); λ = 1.5418 Å (Cu Kα)).
Intensities are scaled so that the largest is 100.

Main lines, in order of falling intensity (5° ≤ 2θ ≤ 70°):
| (hkl) | 2theta | d (Å) | I (rel.) |
| --- | --- | --- | --- |
| 1 0 -2 | 26.76 | 3.331 | 100 |
| 0 2 -2 | 27.90 | 3.197 | 99 |
| 0 1 1 | 17.90 | 4.954 | 71 |
| 0 1 -3 | 25.03 | 3.558 | 57 |
| 1 0 2 | 27.17 | 3.282 | 56 |
| 1 -1 1 | 25.30 | 3.521 | 45 |
| 0 2 0 | 27.48 | 3.246 | 45 |
| 1 0 4 | 40.37 | 2.234 | 27 |
| 0 1 3 | 32.01 | 2.796 | 27 |
| 2 0 0 | 42.81 | 2.112 | 25 |

Structural model:
```
data_Ba2B2O5
_cell_length_a 4.225
_cell_length_b 6.765
_cell_length_c 11.072
_cell_angle_alpha 106.33
_cell_angle_beta 90.80
_cell_angle_gamma 90.12
_space_group_name_H-M_alt 'P -1'
_space_group_IT_number 2
_space_group_name_Hall '-P 1'
loop_
_atom_site_label
_atom_site_fract_x
_atom_site_fract_y
_atom_site_fract_z
_atom_site_occupancy
Ba1 0.213 0.323 0.082 1
Ba2 0.244 0.776 0.606 1
B1 0.337 0.352 0.675 1
B2 0.338 0.864 0.196 1
O1 0.234 0.064 0.222 1
O2 0.256 0.328 0.551 1
O3 0.287 0.532 0.767 1
O4 0.299 0.719 0.083 1
O5 0.493 0.179 0.700 1
```